For NbHgPb2, a cell relaxed with PBE gives the calculated X-ray diffraction stick pattern in this record (copper Kα).

Crystal structure
abc: 5.240 5.240 5.240
angles: 60.00 60.00 60.00
Positions (direct):
Nb  0.000  0.000  0.000
Hg  0.250  0.250  0.250
Pb  0.500  0.500  0.500
Pb  0.750  0.750  0.750

The 10 most intense peaks (2θ = 15–90°), in order of rising 2θ:
20.76 deg, d = 4.278 Å, rel. 5
24.02 deg, d = 3.705 Å, rel. 3
34.23 deg, d = 2.620 Å, rel. 100
40.37 deg, d = 2.234 Å, rel. 3
49.18 deg, d = 1.853 Å, rel. 18
53.93 deg, d = 1.700 Å, rel. 1
55.45 deg, d = 1.657 Å, rel. 1
61.28 deg, d = 1.513 Å, rel. 38
72.10 deg, d = 1.310 Å, rel. 12
82.29 deg, d = 1.172 Å, rel. 17

For NbHgPd2, a cell relaxed with PBE gives the calculated X-ray diffraction stick pattern in this record (copper Kα).

Crystal structure
abc: 4.590 4.590 4.590
angles: 60.00 60.00 60.00
Positions (direct):
Nb  0.000  0.000  0.000
Hg  0.250  0.250  0.250
Pd  0.500  0.500  0.500
Pd  0.750  0.750  0.750

The 10 most intense peaks (2θ = 15–90°), in order of rising 2θ:
23.74 deg, d = 3.748 Å, rel. 8
27.48 deg, d = 3.246 Å, rel. 5
39.25 deg, d = 2.295 Å, rel. 100
46.39 deg, d = 1.957 Å, rel. 4
56.72 deg, d = 1.623 Å, rel. 17
62.35 deg, d = 1.489 Å, rel. 2
64.16 deg, d = 1.452 Å, rel. 2
71.15 deg, d = 1.325 Å, rel. 34
84.41 deg, d = 1.148 Å, rel. 11
89.26 deg, d = 1.097 Å, rel. 2

For NbHgSe2, a cell relaxed with PBE gives the calculated X-ray diffraction stick pattern in this record (copper Kα).

Crystal structure
abc: 3.445 3.446 9.820
angles: 89.58 89.50 60.04
Positions (direct):
Nb  0.000  0.000  0.000
Hg  0.330  0.321  0.500
Se  0.330  0.332  0.172
Se  0.337  0.335  0.828

The 10 most intense peaks (2θ = 15–90°), in order of rising 2θ:
18.07 deg, d = 4.910 Å, rel. 46
27.25 deg, d = 3.273 Å, rel. 28
29.94 deg, d = 2.984 Å, rel. 100
31.29 deg, d = 2.859 Å, rel. 41
31.40 deg, d = 2.849 Å, rel. 22
40.77 deg, d = 2.213 Å, rel. 48
40.84 deg, d = 2.210 Å, rel. 24
41.02 deg, d = 2.200 Å, rel. 47
41.13 deg, d = 2.195 Å, rel. 24
53.16 deg, d = 1.723 Å, rel. 40

For NbTlHg2, a cell relaxed with PBE gives the calculated X-ray diffraction stick pattern in this record (copper Kα).

Crystal structure
abc: 4.997 4.997 4.997
angles: 60.00 60.00 60.00
Positions (direct):
Nb  0.000  0.000  0.000
Tl  0.750  0.750  0.750
Hg  0.250  0.250  0.250
Hg  0.500  0.500  0.500

The 10 most intense peaks (2θ = 15–90°), in order of rising 2θ:
21.78 deg, d = 4.080 Å, rel. 5
25.21 deg, d = 3.533 Å, rel. 3
35.95 deg, d = 2.498 Å, rel. 100
42.42 deg, d = 2.131 Å, rel. 3
51.75 deg, d = 1.767 Å, rel. 18
56.79 deg, d = 1.621 Å, rel. 1
58.40 deg, d = 1.580 Å, rel. 1
64.61 deg, d = 1.442 Å, rel. 37
76.21 deg, d = 1.249 Å, rel. 12
87.26 deg, d = 1.117 Å, rel. 17

For Nd2Hg2O5, a cell relaxed with PBE gives the calculated X-ray diffraction stick pattern in this record (copper Kα).

Crystal structure
abc: 4.178 4.178 9.174
angles: 90.00 90.00 90.00
Positions (direct):
Nd  0.000  0.000  0.249
Nd  0.000  0.000  0.751
Hg  0.500  0.500  0.000
Hg  0.500  0.500  0.500
O  0.000  0.000  0.000
O  0.000  0.500  0.349
O  0.000  0.500  0.651
O  0.500  0.000  0.349
O  0.500  0.000  0.651

The 10 most intense peaks (2θ = 15–90°), in order of rising 2θ:
28.91 deg, d = 3.089 Å, rel. 100
30.25 deg, d = 2.954 Å, rel. 40
39.28 deg, d = 2.294 Å, rel. 11
43.31 deg, d = 2.089 Å, rel. 22
50.37 deg, d = 1.812 Å, rel. 27
52.91 deg, d = 1.730 Å, rel. 38
59.89 deg, d = 1.544 Å, rel. 13
64.94 deg, d = 1.436 Å, rel. 10
81.31 deg, d = 1.183 Å, rel. 11
84.66 deg, d = 1.145 Å, rel. 12

For NdHgSO, a cell relaxed with PBE gives the calculated X-ray diffraction stick pattern in this record (copper Kα).

Crystal structure
abc: 8.076 7.280 6.893
angles: 90.00 95.23 90.00
Positions (direct):
Nd  0.000  0.109  0.000
Nd  0.000  0.891  0.500
Nd  0.065  0.391  0.599
Nd  0.065  0.609  0.099
Hg  0.426  0.118  0.822
Hg  0.426  0.882  0.322
Hg  0.640  0.381  0.775
Hg  0.640  0.619  0.275
S  0.247  0.146  0.369
S  0.247  0.854  0.869
S  0.818  0.354  0.230
S  0.818  0.646  0.730
O  0.148  0.367  0.916
O  0.148  0.633  0.416
O  0.917  0.133  0.683
O  0.917  0.867  0.183

The 10 most intense peaks (2θ = 15–90°), in order of rising 2θ:
16.42 deg, d = 5.397 Å, rel. 25
17.76 deg, d = 4.994 Å, rel. 67
25.30 deg, d = 3.520 Å, rel. 51
27.31 deg, d = 3.266 Å, rel. 24
27.74 deg, d = 3.216 Å, rel. 21
29.21 deg, d = 3.058 Å, rel. 48
30.37 deg, d = 2.943 Å, rel. 27
34.98 deg, d = 2.565 Å, rel. 100
44.94 deg, d = 2.017 Å, rel. 28
47.42 deg, d = 1.917 Å, rel. 23

For NdHgTeO, a cell relaxed with PBE gives the calculated X-ray diffraction stick pattern in this record (copper Kα).

Crystal structure
abc: 9.543 6.191 6.284
angles: 90.00 92.65 90.00
Positions (direct):
Nd  0.099  0.014  0.260
Nd  0.099  0.486  0.760
Nd  0.901  0.514  0.240
Nd  0.901  0.986  0.740
Hg  0.370  0.664  0.523
Hg  0.370  0.836  0.023
Hg  0.630  0.164  0.977
Hg  0.630  0.336  0.477
Te  0.340  0.131  0.642
Te  0.340  0.369  0.142
Te  0.660  0.631  0.858
Te  0.660  0.869  0.358
O  0.013  0.746  0.504
O  0.013  0.754  0.004
O  0.987  0.246  0.996
O  0.987  0.254  0.496

The 10 most intense peaks (2θ = 15–90°), in order of rising 2θ:
27.11 deg, d = 3.290 Å, rel. 57
28.05 deg, d = 3.181 Å, rel. 83
30.38 deg, d = 2.942 Å, rel. 100
33.44 deg, d = 2.680 Å, rel. 90
33.76 deg, d = 2.655 Å, rel. 32
36.55 deg, d = 2.459 Å, rel. 29
37.14 deg, d = 2.421 Å, rel. 24
37.80 deg, d = 2.380 Å, rel. 98
40.95 deg, d = 2.204 Å, rel. 30
43.74 deg, d = 2.070 Å, rel. 29

For RbNdHg3S4, a cell relaxed with PBE gives the calculated X-ray diffraction stick pattern in this record (copper Kα).

Crystal structure
abc: 6.828 6.828 6.828
angles: 90.00 90.00 90.00
Positions (direct):
Rb  0.000  0.000  0.000
Nd  0.500  0.500  0.500
Hg  0.000  0.500  0.500
Hg  0.500  0.000  0.500
Hg  0.500  0.500  0.000
S  0.275  0.275  0.275
S  0.275  0.725  0.725
S  0.725  0.275  0.725
S  0.725  0.725  0.275

The 10 most intense peaks (2θ = 15–90°), in order of rising 2θ:
22.56 deg, d = 3.942 Å, rel. 82
26.10 deg, d = 3.414 Å, rel. 68
29.25 deg, d = 3.053 Å, rel. 23
37.25 deg, d = 2.414 Å, rel. 100
43.98 deg, d = 2.059 Å, rel. 43
46.05 deg, d = 1.971 Å, rel. 21
53.70 deg, d = 1.707 Å, rel. 17
58.97 deg, d = 1.566 Å, rel. 18
60.66 deg, d = 1.527 Å, rel. 30
67.17 deg, d = 1.394 Å, rel. 34

For NdTlHgTe3, a cell relaxed with PBE gives the calculated X-ray diffraction stick pattern in this record (copper Kα).

Crystal structure
abc: 9.037 4.704 18.778
angles: 90.00 90.00 90.00
Positions (direct):
Nd  0.222  0.250  0.041
Nd  0.278  0.750  0.541
Nd  0.722  0.250  0.459
Nd  0.778  0.750  0.959
Tl  0.075  0.250  0.805
Tl  0.425  0.750  0.305
Tl  0.575  0.250  0.695
Tl  0.925  0.750  0.195
Hg  0.047  0.250  0.338
Hg  0.453  0.750  0.838
Hg  0.547  0.250  0.162
Hg  0.953  0.750  0.662
Te  0.006  0.250  0.574
Te  0.128  0.750  0.939
Te  0.215  0.250  0.211
Te  0.285  0.750  0.711
Te  0.372  0.250  0.439
Te  0.494  0.750  0.074
Te  0.506  0.250  0.926
Te  0.628  0.750  0.561
Te  0.715  0.250  0.289
Te  0.785  0.750  0.789
Te  0.872  0.250  0.061
Te  0.994  0.750  0.426

The 10 most intense peaks (2θ = 15–90°), in order of rising 2θ:
27.38 deg, d = 3.257 Å, rel. 25
28.62 deg, d = 3.119 Å, rel. 100
29.00 deg, d = 3.079 Å, rel. 23
30.04 deg, d = 2.974 Å, rel. 18
31.18 deg, d = 2.868 Å, rel. 25
32.06 deg, d = 2.792 Å, rel. 17
36.51 deg, d = 2.461 Å, rel. 30
38.29 deg, d = 2.351 Å, rel. 49
39.94 deg, d = 2.257 Å, rel. 15
50.16 deg, d = 1.819 Å, rel. 13

For Ni7Hg, a cell relaxed with PBE gives the calculated X-ray diffraction stick pattern in this record (copper Kα).

Crystal structure
abc: 2.926 2.926 29.737
angles: 90.00 90.00 90.00
Positions (direct):
Ni  0.000  0.000  0.000
Ni  0.000  0.000  0.084
Ni  0.000  0.000  0.169
Ni  0.000  0.000  0.254
Ni  0.000  0.000  0.339
Ni  0.000  0.000  0.829
Ni  0.000  0.000  0.914
Ni  0.500  0.500  0.042
Ni  0.500  0.500  0.127
Ni  0.500  0.500  0.212
Ni  0.500  0.500  0.297
Ni  0.500  0.500  0.383
Ni  0.500  0.500  0.873
Ni  0.500  0.500  0.957
Hg  0.000  0.000  0.444
Hg  0.500  0.500  0.768

The 10 most intense peaks (2θ = 15–90°), in order of rising 2θ:
17.90 deg, d = 4.956 Å, rel. 23
30.70 deg, d = 2.912 Å, rel. 21
31.15 deg, d = 2.871 Å, rel. 27
34.15 deg, d = 2.626 Å, rel. 31
39.18 deg, d = 2.299 Å, rel. 34
43.75 deg, d = 2.069 Å, rel. 91
45.69 deg, d = 1.986 Å, rel. 100
48.11 deg, d = 1.891 Å, rel. 43
63.59 deg, d = 1.463 Å, rel. 30
81.76 deg, d = 1.178 Å, rel. 36

For Ni15Hg, a cell relaxed with PBE gives the calculated X-ray diffraction stick pattern in this record (copper Kα).

Crystal structure
abc: 4.983 3.446 33.525
angles: 90.00 90.01 90.00
Positions (direct):
Ni  0.000  0.000  0.000
Ni  0.000  0.000  0.073
Ni  0.000  0.000  0.147
Ni  0.000  0.000  0.221
Ni  0.000  0.000  0.294
Ni  0.000  0.000  0.368
Ni  0.001  0.000  0.443
Ni  0.248  0.500  0.036
Ni  0.250  0.500  0.110
Ni  0.250  0.500  0.184
Ni  0.250  0.500  0.258
Ni  0.250  0.500  0.331
Ni  0.250  0.500  0.405
Ni  0.250  0.500  0.480
Ni  0.499  0.000  0.443
Ni  0.500  0.000  0.072
Ni  0.500  0.000  0.147
Ni  0.500  0.000  0.221
Ni  0.500  0.000  0.294
Ni  0.500  0.000  0.368
Ni  0.502  0.000  0.517
Ni  0.750  0.500  0.110
Ni  0.750  0.500  0.184
Ni  0.750  0.500  0.258
Ni  0.750  0.500  0.331
Ni  0.750  0.500  0.405
Ni  0.750  0.500  0.479
Ni  0.750  0.500  0.552
Ni  0.752  0.500  0.036
Ni  0.998  0.000  0.517
Hg  0.250  0.500  0.570
Hg  0.500  0.000  0.982

The 10 most intense peaks (2θ = 15–90°), in order of rising 2θ:
18.55 deg, d = 4.784 Å, rel. 11
35.49 deg, d = 2.529 Å, rel. 10
39.47 deg, d = 2.283 Å, rel. 13
43.85 deg, d = 2.065 Å, rel. 60
44.92 deg, d = 2.018 Å, rel. 100
46.17 deg, d = 1.966 Å, rel. 29
50.97 deg, d = 1.792 Å, rel. 38
53.04 deg, d = 1.726 Å, rel. 17
53.17 deg, d = 1.723 Å, rel. 29
76.73 deg, d = 1.242 Å, rel. 22

For ScSiNiHg, a cell relaxed with PBE gives the calculated X-ray diffraction stick pattern in this record (copper Kα).

Crystal structure
abc: 4.555 4.555 4.555
angles: 60.00 60.00 60.00
Positions (direct):
Sc  0.000  0.000  0.000
Si  0.500  0.500  0.500
Ni  0.750  0.750  0.750
Hg  0.250  0.250  0.250

The 10 most intense peaks (2θ = 15–90°), in order of rising 2θ:
23.93 deg, d = 3.719 Å, rel. 38
27.70 deg, d = 3.221 Å, rel. 41
39.57 deg, d = 2.278 Å, rel. 100
46.77 deg, d = 1.942 Å, rel. 21
48.98 deg, d = 1.860 Å, rel. 12
57.20 deg, d = 1.610 Å, rel. 17
62.89 deg, d = 1.478 Å, rel. 9
64.71 deg, d = 1.440 Å, rel. 16
71.79 deg, d = 1.315 Å, rel. 34
85.22 deg, d = 1.139 Å, rel. 11